[1]
# Pr2CdN
Computed X-ray powder pattern, CuKα. Input: DFT lattice parameters and positions (PBE).
Lines closer than 0.1° are merged.

Most intense lines, 10 to 90 degrees two-theta, sorted by position:
| Position (°2θ) | d [Å] | I (rel.) |
| --- | --- | --- |
| 23.67 | 3.759 | 10.3 |
| 26.75 | 3.333 | 16.6 |
| 29.10 | 3.068 | 22.6 |
| 30.52 | 2.929 | 100.0 |
| 34.44 | 2.604 | 26.6 |
| 38.99 | 2.310 | 9.9 |
| 44.30 | 2.045 | 10.7 |
| 45.70 | 1.985 | 13.0 |
| 57.29 | 1.608 | 9.9 |
| 59.28 | 1.559 | 15.1 |

Atomic structure:
Unit cell a=7.008 b=7.008 c=7.008 alpha=136.38 beta=81.46 gamma=115.13
Element x y z (fractional)
Pr (0.105, 0.250, 0.355)
Pr (0.480, 0.935, 0.045)
Pr (0.891, 0.435, 0.955)
Pr (0.895, 0.750, 0.645)
Cd (0.377, 0.203, 0.674)
Cd (0.529, 0.703, 0.326)
N (0.096, 0.731, 0.865)
N (0.866, 0.231, 0.135)

***

[2]
# Pr2CdN
Computed X-ray powder pattern, CuKα. Input: DFT lattice parameters and positions (PBE).
Lines closer than 0.1° are merged.

Most intense lines, 10 to 90 degrees two-theta, sorted by position:
| Position (°2θ) | d [Å] | I (rel.) |
| --- | --- | --- |
| 28.15 | 3.170 | 24.1 |
| 28.83 | 3.097 | 19.3 |
| 31.42 | 2.847 | 100.0 |
| 32.12 | 2.787 | 38.1 |
| 33.24 | 2.695 | 69.8 |
| 49.40 | 1.845 | 38.5 |
| 55.65 | 1.652 | 17.4 |
| 59.72 | 1.548 | 15.3 |
| 60.15 | 1.538 | 37.8 |
| 87.78 | 1.112 | 14.7 |

Atomic structure:
Unit cell a=8.628 b=8.628 c=8.628 alpha=24.69 beta=24.69 gamma=24.69
Element x y z (fractional)
Pr (0.223, 0.223, 0.223)
Pr (0.777, 0.777, 0.777)
Cd (0.000, 0.000, 0.000)
N (0.500, 0.500, 0.500)

***

[3]
# Sr2CdReN
Computed X-ray powder pattern, CuKα. Input: DFT lattice parameters and positions (PBE).
Lines closer than 0.1° are merged.

Most intense lines, 10 to 90 degrees two-theta, sorted by position:
| Position (°2θ) | d [Å] | I (rel.) |
| --- | --- | --- |
| 16.03 | 5.530 | 8.9 |
| 22.74 | 3.910 | 10.7 |
| 32.38 | 2.765 | 56.8 |
| 32.49 | 2.756 | 100.0 |
| 46.45 | 1.955 | 20.5 |
| 46.78 | 1.942 | 10.0 |
| 57.82 | 1.595 | 38.5 |
| 58.04 | 1.589 | 20.8 |
| 68.04 | 1.378 | 12.8 |
| 77.17 | 1.236 | 17.3 |

Atomic structure:
Unit cell a=5.530 b=5.530 c=3.884 alpha=90.00 beta=90.00 gamma=90.00
Element x y z (fractional)
Sr (0.000, 0.500, 0.000)
Sr (0.500, 0.000, 0.000)
Cd (0.000, 0.000, 0.500)
Re (0.500, 0.500, 0.500)
N (0.500, 0.500, 0.000)

***

[4]
# Cd2Rh2N
Computed X-ray powder pattern, CuKα. Input: DFT lattice parameters and positions (PBE).
Lines closer than 0.1° are merged.

Most intense lines, 10 to 90 degrees two-theta, sorted by position:
| Position (°2θ) | d [Å] | I (rel.) |
| --- | --- | --- |
| 32.33 | 2.769 | 43.8 |
| 33.84 | 2.649 | 49.0 |
| 40.19 | 2.244 | 100.0 |
| 46.37 | 1.958 | 9.2 |
| 47.50 | 1.914 | 29.6 |
| 58.62 | 1.575 | 8.8 |
| 63.70 | 1.461 | 8.7 |
| 64.84 | 1.438 | 23.2 |
| 72.61 | 1.302 | 30.0 |
| 82.35 | 1.171 | 9.6 |

Atomic structure:
Unit cell a=5.539 b=5.539 c=5.298 alpha=90.00 beta=90.00 gamma=90.00
Element x y z (fractional)
Cd (0.177, 0.323, 0.000)
Cd (0.323, 0.823, 0.000)
Cd (0.677, 0.177, 0.000)
Cd (0.823, 0.677, 0.000)
Rh (0.194, 0.694, 0.500)
Rh (0.306, 0.194, 0.500)
Rh (0.694, 0.806, 0.500)
Rh (0.806, 0.306, 0.500)
N (0.000, 0.000, 0.500)
N (0.500, 0.500, 0.500)